Starting from a cell relaxed with GGA-PBE, the X-ray powder pattern of CoTc2Hg was calculated for λ = 1.5418 Å (Cu Kα).
Peak positions follow from Bragg's law for the DFT cell and can differ from measured ones.

Cell and atoms:
a = 4.7152 Å, b = 4.7152 Å, c = 4.9133 Å
α = 100.22°, β = 100.22°, γ = 34.83°
Positions (direct):
Co 0.0000 0.0000 0.0000
Tc 0.4826 0.4826 0.4199
Tc 0.7351 0.7351 0.2333
Hg 0.2441 0.2441 0.7394

Largest 8 diffraction maxima, most intense first, 2θ from 10° to 80°:
| d [Å] | intensity |
| --- | --- |
| 2.295 | 100 |
| 1.971 | 93 |
| 2.307 | 48 |
| 2.210 | 46 |
| 4.421 | 24 |
| 2.410 | 22 |
| 1.371 | 18 |
| 1.417 | 17 |

Starting from a cell relaxed with GGA-PBE, the X-ray powder pattern of Co2HgTe was calculated for λ = 1.5418 Å (Cu Kα).
Peak positions follow from Bragg's law for the DFT cell and can differ from measured ones.

Cell and atoms:
a = 3.0705 Å, b = 3.3285 Å, c = 7.3641 Å
α = 90.00°, β = 90.00°, γ = 90.00°
Positions (direct):
Co 0.0000 0.0000 0.0000
Co 0.5000 0.5000 0.1614
Hg 0.5000 0.5000 0.7792
Te 0.0000 0.0000 0.3466

Largest 8 diffraction maxima, most intense first, 2θ from 10° to 80°:
| d [Å] | intensity |
| --- | --- |
| 2.257 | 100 |
| 3.033 | 74 |
| 2.834 | 62 |
| 3.682 | 50 |
| 1.976 | 47 |
| 1.917 | 43 |
| 2.469 | 42 |
| 2.358 | 37 |

Starting from a cell relaxed with GGA-PBE, the X-ray powder pattern of Th3Co2Hg was calculated for λ = 1.5418 Å (Cu Kα).
Peak positions follow from Bragg's law for the DFT cell and can differ from measured ones.

Cell and atoms:
a = 7.2655 Å, b = 3.8271 Å, c = 10.4813 Å
α = 90.00°, β = 90.00°, γ = 90.00°
Positions (direct):
Th 0.0000 0.0000 0.0000
Th 0.0000 0.5000 0.2970
Th 0.0000 0.5000 0.7030
Th 0.5000 0.0000 0.0000
Th 0.5000 0.5000 0.2970
Th 0.5000 0.5000 0.7030
Co 0.2500 0.0000 0.2210
Co 0.2500 0.5000 0.8997
Co 0.7500 0.0000 0.7790
Co 0.7500 0.5000 0.1003
Hg 0.2500 0.0000 0.5001
Hg 0.7500 0.0000 0.4999

Largest 8 diffraction maxima, most intense first, 2θ from 10° to 80°:
| d [Å] | intensity |
| --- | --- |
| 3.091 | 100 |
| 2.555 | 83 |
| 2.518 | 76 |
| 2.354 | 42 |
| 1.640 | 37 |
| 1.524 | 33 |
| 1.566 | 29 |
| 1.914 | 25 |

Starting from a cell relaxed with GGA-PBE, the X-ray powder pattern of Th8Co3Hg2 was calculated for λ = 1.5418 Å (Cu Kα).
Peak positions follow from Bragg's law for the DFT cell and can differ from measured ones.

Cell and atoms:
a = 8.8557 Å, b = 8.8557 Å, c = 5.8670 Å
α = 105.07°, β = 105.07°, γ = 61.15°
Positions (direct):
Th 0.1077 0.1077 0.9344
Th 0.1481 0.6525 0.5702
Th 0.3475 0.8519 0.4298
Th 0.3927 0.3927 0.0701
Th 0.6073 0.6073 0.9299
Th 0.6525 0.1481 0.5702
Th 0.8519 0.3475 0.4298
Th 0.8923 0.8923 0.0656
Co 0.0000 0.0000 0.5000
Co 0.2616 0.7384 0.0000
Co 0.7384 0.2616 0.0000
Hg 0.2530 0.2530 0.5021
Hg 0.7470 0.7470 0.4979

Largest 8 diffraction maxima, most intense first, 2θ from 10° to 80°:
| d [Å] | intensity |
| --- | --- |
| 2.802 | 100 |
| 2.948 | 30 |
| 3.508 | 27 |
| 2.252 | 22 |
| 2.315 | 21 |
| 1.791 | 17 |
| 1.754 | 14 |
| 1.758 | 13 |

Starting from a cell relaxed with GGA-PBE, the X-ray powder pattern of Ti6CoHg was calculated for λ = 1.5418 Å (Cu Kα).
Peak positions follow from Bragg's law for the DFT cell and can differ from measured ones.

Cell and atoms:
a = 5.5168 Å, b = 5.5168 Å, c = 5.5168 Å
α = 106.89°, β = 106.89°, γ = 106.89°
Positions (direct):
Ti 0.2240 0.2240 0.6517
Ti 0.2240 0.6517 0.2240
Ti 0.3483 0.7760 0.7760
Ti 0.6517 0.2240 0.2240
Ti 0.7760 0.3483 0.7760
Ti 0.7760 0.7760 0.3483
Co 0.5000 0.5000 0.5000
Hg 0.0000 0.0000 0.0000

Largest 8 diffraction maxima, most intense first, 2θ from 10° to 80°:
| d [Å] | intensity |
| --- | --- |
| 2.116 | 100 |
| 2.627 | 85 |
| 2.216 | 83 |
| 4.431 | 76 |
| 2.869 | 74 |
| 4.816 | 33 |
| 1.754 | 24 |
| 1.509 | 21 |

Starting from a cell relaxed with GGA-PBE, the X-ray powder pattern of Tm11Co4Hg9 was calculated for λ = 1.5418 Å (Cu Kα).
Peak positions follow from Bragg's law for the DFT cell and can differ from measured ones.

Cell and atoms:
a = 12.6840 Å, b = 12.6840 Å, c = 3.5750 Å
α = 90.00°, β = 90.00°, γ = 112.40°
Positions (direct):
Tm 0.0000 0.0000 0.0000
Tm 0.0903 0.4189 0.0000
Tm 0.1646 0.8354 0.0000
Tm 0.3040 0.3040 0.0000
Tm 0.3691 0.6309 0.0000
Tm 0.4189 0.0903 0.0000
Tm 0.5811 0.9097 0.0000
Tm 0.6309 0.3691 0.0000
Tm 0.6960 0.6960 0.0000
Tm 0.8354 0.1646 0.0000
Tm 0.9097 0.5811 0.0000
Co 0.2623 0.4537 0.5000
Co 0.4537 0.2623 0.5000
Co 0.5463 0.7377 0.5000
Co 0.7377 0.5463 0.5000
Hg 0.0679 0.2166 0.5000
Hg 0.1494 0.6296 0.5000
Hg 0.2166 0.0679 0.5000
Hg 0.3704 0.8506 0.5000
Hg 0.5000 0.5000 0.5000
Hg 0.6296 0.1494 0.5000
Hg 0.7834 0.9321 0.5000
Hg 0.8506 0.3704 0.5000
Hg 0.9321 0.7834 0.5000

Largest 8 diffraction maxima, most intense first, 2θ from 10° to 80°:
| d [Å] | intensity |
| --- | --- |
| 2.508 | 100 |
| 2.490 | 49 |
| 1.452 | 19 |
| 2.821 | 16 |
| 1.788 | 15 |
| 2.677 | 12 |
| 3.140 | 10 |
| 1.516 | 9 |

Starting from a cell relaxed with GGA-PBE, the X-ray powder pattern of Tm3CoHg was calculated for λ = 1.5418 Å (Cu Kα).
Peak positions follow from Bragg's law for the DFT cell and can differ from measured ones.

Cell and atoms:
a = 5.6943 Å, b = 5.6943 Å, c = 9.2019 Å
α = 115.35°, β = 115.35°, γ = 67.08°
Positions (direct):
Tm 0.0713 0.0713 0.2702
Tm 0.3014 0.3014 0.1024
Tm 0.3010 0.3010 0.7285
Tm 0.6990 0.6990 0.2715
Tm 0.6986 0.6986 0.8976
Tm 0.9287 0.9287 0.7298
Co 0.2507 0.7493 0.0000
Co 0.7493 0.2507 0.0000
Hg 0.2803 0.7197 0.5000
Hg 0.7197 0.2803 0.5000

Largest 8 diffraction maxima, most intense first, 2θ from 10° to 80°:
| d [Å] | intensity |
| --- | --- |
| 2.489 | 100 |
| 2.783 | 59 |
| 3.035 | 59 |
| 2.460 | 54 |
| 2.705 | 53 |
| 1.578 | 30 |
| 2.302 | 28 |
| 1.575 | 23 |

Starting from a cell relaxed with GGA-PBE, the X-ray powder pattern of Tm7Co2Hg was calculated for λ = 1.5418 Å (Cu Kα).
Peak positions follow from Bragg's law for the DFT cell and can differ from measured ones.

Cell and atoms:
a = 7.9013 Å, b = 7.9013 Å, c = 4.8644 Å
α = 90.00°, β = 90.00°, γ = 112.63°
Positions (direct):
Tm 0.0000 0.0000 0.0000
Tm 0.1829 0.4476 0.0000
Tm 0.2040 0.7960 0.5000
Tm 0.4476 0.1829 0.0000
Tm 0.5524 0.8171 0.0000
Tm 0.7960 0.2040 0.5000
Tm 0.8171 0.5524 0.0000
Co 0.2036 0.7964 0.0000
Co 0.7964 0.2036 0.0000
Hg 0.5000 0.5000 0.5000

Largest 8 diffraction maxima, most intense first, 2θ from 10° to 80°:
| d [Å] | intensity |
| --- | --- |
| 3.052 | 100 |
| 2.432 | 94 |
| 2.630 | 62 |
| 2.460 | 55 |
| 3.256 | 53 |
| 2.724 | 41 |
| 1.786 | 39 |
| 1.719 | 31 |

Starting from a cell relaxed with GGA-PBE, the X-ray powder pattern of ZnCoHg2 was calculated for λ = 1.5418 Å (Cu Kα).
Peak positions follow from Bragg's law for the DFT cell and can differ from measured ones.

Cell and atoms:
a = 3.0159 Å, b = 3.0159 Å, c = 7.8348 Å
α = 90.00°, β = 90.00°, γ = 90.00°
Positions (direct):
Zn 0.0000 0.0000 0.0000
Co 0.5000 0.5000 0.1612
Hg 0.0000 0.0000 0.3869
Hg 0.5000 0.5000 0.7218

Largest 8 diffraction maxima, most intense first, 2θ from 10° to 80°:
| d [Å] | intensity |
| --- | --- |
| 2.390 | 100 |
| 2.815 | 62 |
| 2.133 | 50 |
| 1.275 | 27 |
| 1.652 | 27 |
| 2.612 | 26 |
| 1.508 | 17 |
| 1.306 | 15 |

Starting from a cell relaxed with GGA-PBE, the X-ray powder pattern of Zr4Co2Hg was calculated for λ = 1.5418 Å (Cu Kα).
Peak positions follow from Bragg's law for the DFT cell and can differ from measured ones.

Cell and atoms:
a = 11.1616 Å, b = 11.1616 Å, c = 11.1616 Å
α = 20.29°, β = 20.29°, γ = 20.29°
Positions (direct):
Zr 0.1035 0.1035 0.1035
Zr 0.3002 0.3002 0.3002
Zr 0.6998 0.6998 0.6998
Zr 0.8965 0.8965 0.8965
Co 0.4009 0.4009 0.4009
Co 0.5991 0.5991 0.5991
Hg 0.5000 0.5000 0.5000

Largest 8 diffraction maxima, most intense first, 2θ from 10° to 80°:
| d [Å] | intensity |
| --- | --- |
| 2.362 | 100 |
| 3.022 | 83 |
| 1.966 | 58 |
| 3.386 | 24 |
| 1.477 | 24 |
| 1.511 | 24 |
| 1.462 | 18 |
| 1.648 | 14 |

Starting from a cell relaxed with GGA-PBE, the X-ray powder pattern of Ho5Co2 was calculated for λ = 1.5418 Å (Cu Kα).
Peak positions follow from Bragg's law for the DFT cell and can differ from measured ones.

Cell and atoms:
a = 8.5193 Å, b = 8.5193 Å, c = 6.8915 Å
α = 96.30°, β = 96.30°, γ = 43.10°
Positions (direct):
Ho 0.0701 0.9299 0.7500
Ho 0.1472 0.2843 0.3152
Ho 0.2843 0.1472 0.8152
Ho 0.2974 0.5129 0.0870
Ho 0.4871 0.7026 0.4130
Ho 0.5129 0.2974 0.5870
Ho 0.7026 0.4871 0.9130
Ho 0.7157 0.8528 0.1848
Ho 0.8528 0.7157 0.6848
Ho 0.9299 0.0701 0.2500
Co 0.1008 0.6761 0.4277
Co 0.3239 0.8992 0.0723
Co 0.6761 0.1008 0.9277
Co 0.8992 0.3239 0.5723

Largest 8 diffraction maxima, most intense first, 2θ from 10° to 80°:
| d [Å] | intensity |
| --- | --- |
| 2.812 | 100 |
| 2.846 | 63 |
| 3.008 | 57 |
| 2.730 | 38 |
| 2.445 | 37 |
| 1.661 | 37 |
| 2.497 | 32 |
| 2.635 | 28 |

Starting from a cell relaxed with GGA-PBE, the X-ray powder pattern of HoCo6 was calculated for λ = 1.5418 Å (Cu Kα).
Peak positions follow from Bragg's law for the DFT cell and can differ from measured ones.

Cell and atoms:
a = 7.8013 Å, b = 4.8040 Å, c = 9.7910 Å
α = 90.00°, β = 90.00°, γ = 90.00°
Positions (direct):
Ho 0.2393 0.2500 0.0594
Ho 0.2607 0.7500 0.5594
Ho 0.7393 0.2500 0.4406
Ho 0.7607 0.7500 0.9406
Co 0.0657 0.7500 0.0909
Co 0.0695 0.0106 0.3081
Co 0.0695 0.4894 0.3081
Co 0.0909 0.2500 0.5227
Co 0.1400 0.7500 0.8532
Co 0.1836 0.2500 0.7560
Co 0.3164 0.7500 0.2560
Co 0.3600 0.2500 0.3532
Co 0.4091 0.7500 0.0227
Co 0.4305 0.5106 0.8081
Co 0.4305 0.9894 0.8081
Co 0.4343 0.2500 0.5909
Co 0.5657 0.7500 0.4091
Co 0.5695 0.0106 0.1919
Co 0.5695 0.4894 0.1919
Co 0.5909 0.2500 0.9773
Co 0.6400 0.7500 0.6468
Co 0.6836 0.2500 0.7440
Co 0.8164 0.7500 0.2440
Co 0.8600 0.2500 0.1468
Co 0.9091 0.7500 0.4773
Co 0.9305 0.5106 0.6919
Co 0.9305 0.9894 0.6919
Co 0.9343 0.2500 0.9091

Largest 8 diffraction maxima, most intense first, 2θ from 10° to 80°:
| d [Å] | intensity |
| --- | --- |
| 2.227 | 100 |
| 2.220 | 76 |
| 2.335 | 59 |
| 2.402 | 33 |
| 2.156 | 27 |
| 1.878 | 26 |
| 2.045 | 25 |
| 1.904 | 24 |